This entry pairs a crystal structure of TbNd2Sm4Tm with its simulated powder X-ray diffraction pattern. Radiation: a wavelength of 1.5418 Å. Structure: a crystal structure in Alexandria, relaxed with GGA-PBE.

Atomic structure:
```
data_TbNd2Sm4Tm
_cell_length_a 13.735
_cell_length_b 13.331
_cell_length_c 6.884
_cell_angle_alpha 90.00
_cell_angle_beta 119.88
_cell_angle_gamma 90.00
_space_group_name_H-M_alt 'C 1 2/c 1'
_space_group_IT_number 15
loop_
_space_group_symop_operation_xyz
'x,y,z'
'-x,-y,-z'
'-x,y,-z+1/2'
'x,-y,z+1/2'
'x+1/2,y+1/2,z'
'-x+1/2,-y+1/2,-z'
'-x+1/2,y+1/2,-z+1/2'
'x+1/2,-y+1/2,z+1/2'
loop_
_atom_site_label
_atom_site_type_symbol
_atom_site_fract_x
_atom_site_fract_y
_atom_site_fract_z
_atom_site_occupancy
Tb1 Tb 0.250 0.250 0.000 1
Nd1 Nd 0.000 0.000 0.000 1
Nd2 Nd 0.250 0.250 0.500 1
Sm1 Sm 0.002 0.256 0.502 1
Sm2 Sm 0.246 0.499 0.972 1
Tm1 Tm 0.000 0.500 0.000 1
```

Largest 10 diffraction maxima, low angle first, 2θ from 5° to 70°:
26.75 deg, intensity 45, (0 4 0); 30.00 deg, intensity 100, (4 0 0); 40.62 deg, intensity 88, (4 4 0); 53.21 deg, intensity 13, (4 0 2); 60.53 deg, intensity 17, (4 4 2); 60.68 deg, intensity 9, (8 4 -2); 62.40 deg, intensity 8, (8 0 0); 64.01 deg, intensity 15, (4 8 0); 64.04 deg, intensity 8, (4 8 -2); 69.13 deg, intensity 12, (8 4 0)